1.
The following is a theoretical powder diffraction line list of BaCu9Si4. It was derived from a GGA-PBE-relaxed structure, using CuKα.
Peak positions follow from Bragg's law for the DFT cell and can differ from measured ones.

Atomic structure:
Unit cell a=8.258 b=8.258 c=8.258 alpha=120.28 beta=120.28 gamma=89.52
Sites, in units of the cell vectors:
Ba: 0.250 0.250 0.000
Ba: 0.750 0.750 0.000
Cu: 0.000 0.500 0.500
Cu: 0.059 0.559 0.255
Cu: 0.064 0.795 0.859
Cu: 0.195 0.941 0.500
Cu: 0.205 0.064 0.269
Cu: 0.295 0.564 0.859
Cu: 0.305 0.805 0.745
Cu: 0.436 0.295 0.731
Cu: 0.441 0.695 0.500
Cu: 0.500 0.000 0.500
Cu: 0.559 0.305 0.500
Cu: 0.564 0.705 0.269
Cu: 0.695 0.195 0.255
Cu: 0.705 0.436 0.141
Cu: 0.795 0.936 0.731
Cu: 0.805 0.059 0.500
Cu: 0.936 0.205 0.141
Cu: 0.941 0.441 0.745
Si: 0.060 0.209 0.500
Si: 0.209 0.709 0.149
Si: 0.291 0.440 0.500
Si: 0.440 0.940 0.149
Si: 0.560 0.060 0.851
Si: 0.709 0.560 0.500
Si: 0.791 0.291 0.851
Si: 0.940 0.791 0.500

Peak list (10 most intense, 2θ from 10° to 80°, in order of rising 2θ)
| 2θ (°) | d_spacing | I (rel.) |
| --- | --- | --- |
| 25.38 | 3.509 | 15 |
| 30.49 | 2.932 | 18 |
| 34.25 | 2.618 | 15 |
| 34.45 | 2.603 | 37 |
| 37.68 | 2.387 | 23 |
| 37.85 | 2.377 | 100 |
| 45.89 | 1.977 | 39 |
| 46.11 | 1.968 | 77 |
| 49.56 | 1.839 | 18 |
| 54.52 | 1.683 | 13 |


2.
The following is a theoretical powder diffraction line list of MnCuSb. It was derived from a GGA-PBE-relaxed structure, using CuKα.
Peak positions follow from Bragg's law for the DFT cell and can differ from measured ones.

Atomic structure:
Unit cell a=4.303 b=4.303 c=4.303 alpha=60.00 beta=60.00 gamma=60.00
Sites, in units of the cell vectors:
Mn: 0.000 0.000 0.000
Cu: 0.250 0.250 0.250
Sb: 0.500 0.500 0.500

Peak list (9 most intense, 2θ from 10° to 80°, in order of rising 2θ)
| 2θ (°) | d_spacing | I (rel.) |
| --- | --- | --- |
| 25.35 | 3.513 | 38 |
| 29.36 | 3.042 | 26 |
| 42.00 | 2.151 | 100 |
| 49.69 | 1.835 | 18 |
| 52.07 | 1.757 | 7 |
| 60.90 | 1.521 | 16 |
| 67.04 | 1.396 | 7 |
| 69.03 | 1.361 | 9 |
| 76.73 | 1.242 | 31 |


3.
The following is a theoretical powder diffraction line list of BiOs2C6O6. It was derived from a GGA-PBE-relaxed structure, using CuKα.
Peak positions follow from Bragg's law for the DFT cell and can differ from measured ones.

Atomic structure:
Unit cell a=9.333 b=9.333 c=12.517 alpha=93.59 beta=93.59 gamma=86.63
Sites, in units of the cell vectors:
Bi: 0.017 0.203 0.290
Bi: 0.203 0.017 0.790
Bi: 0.797 0.983 0.210
Bi: 0.983 0.797 0.710
Os: 0.170 0.764 0.910
Os: 0.211 0.577 0.718
Os: 0.236 0.830 0.590
Os: 0.423 0.789 0.782
Os: 0.577 0.211 0.218
Os: 0.764 0.170 0.410
Os: 0.789 0.423 0.282
Os: 0.830 0.236 0.090
C: 0.011 0.282 0.046
C: 0.063 0.474 0.770
C: 0.103 0.802 0.471
C: 0.188 0.495 0.575
C: 0.198 0.897 0.029
C: 0.278 0.610 0.977
C: 0.282 0.011 0.546
C: 0.357 0.437 0.761
C: 0.390 0.722 0.523
C: 0.437 0.357 0.261
C: 0.474 0.063 0.270
C: 0.495 0.188 0.075
C: 0.505 0.812 0.925
C: 0.526 0.937 0.730
C: 0.563 0.643 0.739
C: 0.610 0.278 0.477
C: 0.643 0.563 0.239
C: 0.718 0.989 0.454
C: 0.722 0.390 0.023
C: 0.802 0.103 0.971
C: 0.812 0.505 0.425
C: 0.897 0.198 0.529
C: 0.937 0.526 0.230
C: 0.989 0.718 0.954
O: 0.025 0.785 0.395
O: 0.026 0.590 0.197
O: 0.122 0.310 0.018
O: 0.168 0.440 0.490
O: 0.215 0.975 0.105
O: 0.310 0.122 0.518
O: 0.342 0.437 0.283
O: 0.342 0.520 0.023
O: 0.410 0.974 0.303
O: 0.437 0.342 0.783
O: 0.440 0.168 0.990
O: 0.480 0.658 0.477
O: 0.520 0.342 0.523
O: 0.560 0.832 0.010
O: 0.563 0.658 0.217
O: 0.590 0.026 0.697
O: 0.658 0.480 0.977
O: 0.658 0.563 0.717
O: 0.690 0.878 0.482
O: 0.785 0.025 0.895
O: 0.832 0.560 0.510
O: 0.878 0.690 0.982
O: 0.974 0.410 0.803
O: 0.975 0.215 0.605

Peak list (10 most intense, 2θ from 10° to 80°, in order of rising 2θ)
| 2θ (°) | d_spacing | I (rel.) |
| --- | --- | --- |
| 11.53 | 7.676 | 100 |
| 12.20 | 7.252 | 82 |
| 13.09 | 6.765 | 22 |
| 13.83 | 6.402 | 15 |
| 14.20 | 6.235 | 17 |
| 28.79 | 3.101 | 14 |
| 28.92 | 3.087 | 14 |
| 31.28 | 2.859 | 17 |
| 35.39 | 2.536 | 15 |
| 38.76 | 2.323 | 14 |


4.
The following is a theoretical powder diffraction line list of Zr6Zn16Cu7. It was derived from a GGA-PBE-relaxed structure, using CuKα.
Peak positions follow from Bragg's law for the DFT cell and can differ from measured ones.

Atomic structure:
Unit cell a=8.616 b=8.616 c=8.616 alpha=60.00 beta=60.00 gamma=60.00
Sites, in units of the cell vectors:
Zr: 0.196 0.196 0.804
Zr: 0.196 0.804 0.196
Zr: 0.196 0.804 0.804
Zr: 0.804 0.196 0.196
Zr: 0.804 0.196 0.804
Zr: 0.804 0.804 0.196
Zn: 0.141 0.620 0.620
Zn: 0.168 0.168 0.168
Zn: 0.168 0.168 0.497
Zn: 0.168 0.497 0.168
Zn: 0.380 0.380 0.380
Zn: 0.380 0.380 0.859
Zn: 0.380 0.859 0.380
Zn: 0.497 0.168 0.168
Zn: 0.503 0.832 0.832
Zn: 0.620 0.141 0.620
Zn: 0.620 0.620 0.141
Zn: 0.620 0.620 0.620
Zn: 0.832 0.503 0.832
Zn: 0.832 0.832 0.503
Zn: 0.832 0.832 0.832
Zn: 0.859 0.380 0.380
Cu: 0.000 0.000 0.500
Cu: 0.000 0.500 0.000
Cu: 0.000 0.500 0.500
Cu: 0.500 0.000 0.000
Cu: 0.500 0.000 0.500
Cu: 0.500 0.500 0.000
Cu: 0.500 0.500 0.500

Peak list (10 most intense, 2θ from 10° to 80°, in order of rising 2θ)
| 2θ (°) | d_spacing | I (rel.) |
| --- | --- | --- |
| 36.11 | 2.487 | 23 |
| 38.39 | 2.345 | 78 |
| 41.94 | 2.154 | 100 |
| 43.96 | 2.060 | 20 |
| 44.62 | 2.031 | 17 |
| 49.63 | 1.837 | 10 |
| 64.94 | 1.436 | 19 |
| 70.39 | 1.338 | 10 |
| 76.62 | 1.244 | 11 |
| 78.03 | 1.225 | 20 |


5.
The following is a theoretical powder diffraction line list of Nd6InFe13. It was derived from a GGA-PBE-relaxed structure, using CuKα.
Peak positions follow from Bragg's law for the DFT cell and can differ from measured ones.

Atomic structure:
Unit cell a=13.122 b=13.122 c=13.122 alpha=144.07 beta=144.07 gamma=51.72
Sites, in units of the cell vectors:
Nd: 0.021 0.521 0.173
Nd: 0.104 0.104 0.000
Nd: 0.152 0.979 0.500
Nd: 0.348 0.848 0.827
Nd: 0.396 0.396 0.000
Nd: 0.479 0.652 0.500
Nd: 0.521 0.348 0.500
Nd: 0.604 0.604 0.000
Nd: 0.652 0.152 0.173
Nd: 0.848 0.021 0.500
Nd: 0.896 0.896 0.000
Nd: 0.979 0.479 0.827
In: 0.250 0.250 0.000
In: 0.750 0.750 0.000
Fe: 0.000 0.500 0.500
Fe: 0.019 0.294 0.500
Fe: 0.067 0.210 0.277
Fe: 0.121 0.621 0.858
Fe: 0.206 0.481 0.500
Fe: 0.210 0.933 0.144
Fe: 0.237 0.737 0.858
Fe: 0.263 0.121 0.500
Fe: 0.290 0.433 0.723
Fe: 0.294 0.794 0.274
Fe: 0.379 0.237 0.500
Fe: 0.433 0.710 0.144
Fe: 0.481 0.981 0.274
Fe: 0.500 0.000 0.500
Fe: 0.519 0.019 0.726
Fe: 0.567 0.290 0.856
Fe: 0.621 0.763 0.500
Fe: 0.706 0.206 0.726
Fe: 0.710 0.567 0.277
Fe: 0.737 0.879 0.500
Fe: 0.763 0.263 0.142
Fe: 0.790 0.067 0.856
Fe: 0.794 0.519 0.500
Fe: 0.879 0.379 0.142
Fe: 0.933 0.790 0.723
Fe: 0.981 0.706 0.500

Peak list (10 most intense, 2θ from 10° to 80°, in order of rising 2θ)
| 2θ (°) | d_spacing | I (rel.) |
| --- | --- | --- |
| 27.11 | 3.289 | 90 |
| 31.13 | 2.873 | 85 |
| 31.25 | 2.862 | 34 |
| 31.71 | 2.822 | 42 |
| 34.18 | 2.624 | 37 |
| 35.06 | 2.560 | 100 |
| 37.72 | 2.385 | 68 |
| 42.55 | 2.125 | 56 |
| 46.41 | 1.957 | 44 |
| 57.51 | 1.602 | 35 |


6.
The following is a theoretical powder diffraction line list of SiC. It was derived from a GGA-PBE-relaxed structure, using CuKα.
Peak positions follow from Bragg's law for the DFT cell and can differ from measured ones.

Atomic structure:
Unit cell a=12.780 b=12.780 c=12.780 alpha=13.91 beta=13.91 gamma=13.91
Sites, in units of the cell vectors:
Si: 0.000 0.000 0.000
Si: 0.133 0.133 0.133
Si: 0.267 0.267 0.267
Si: 0.533 0.533 0.533
Si: 0.733 0.733 0.733
C: 0.050 0.050 0.050
C: 0.183 0.183 0.183
C: 0.317 0.317 0.317
C: 0.584 0.584 0.584
C: 0.784 0.784 0.784

Peak list (10 most intense, 2θ from 10° to 80°, in order of rising 2θ)
| 2θ (°) | d_spacing | I (rel.) |
| --- | --- | --- |
| 33.78 | 2.654 | 29 |
| 34.78 | 2.579 | 68 |
| 35.49 | 2.530 | 100 |
| 37.43 | 2.403 | 51 |
| 38.58 | 2.334 | 36 |
| 57.53 | 1.602 | 18 |
| 59.75 | 1.548 | 71 |
| 64.19 | 1.451 | 22 |
| 66.53 | 1.405 | 18 |
| 71.46 | 1.320 | 55 |


7.
The following is a theoretical powder diffraction line list of TeAsI3F6. It was derived from a GGA-PBE-relaxed structure, using CuKα.
Peak positions follow from Bragg's law for the DFT cell and can differ from measured ones.

Atomic structure:
Unit cell a=8.463 b=11.012 c=13.047 alpha=90.00 beta=101.01 gamma=90.00
Sites, in units of the cell vectors:
Te: 0.187 0.166 0.190
Te: 0.187 0.334 0.690
Te: 0.813 0.666 0.310
Te: 0.813 0.834 0.810
As: 0.173 0.725 0.581
As: 0.173 0.775 0.081
As: 0.827 0.225 0.919
As: 0.827 0.275 0.419
I: 0.225 0.098 0.746
I: 0.225 0.402 0.246
I: 0.292 0.046 0.371
I: 0.292 0.454 0.871
I: 0.445 0.149 0.096
I: 0.445 0.351 0.596
I: 0.555 0.649 0.404
I: 0.555 0.851 0.904
I: 0.708 0.546 0.129
I: 0.708 0.954 0.629
I: 0.775 0.598 0.754
I: 0.775 0.902 0.254
F: 0.026 0.239 0.487
F: 0.026 0.261 0.987
F: 0.102 0.578 0.609
F: 0.102 0.922 0.109
F: 0.123 0.718 0.198
F: 0.123 0.782 0.698
F: 0.217 0.668 0.462
F: 0.217 0.832 0.962
F: 0.242 0.629 0.053
F: 0.242 0.871 0.553
F: 0.368 0.686 0.647
F: 0.368 0.814 0.147
F: 0.632 0.186 0.853
F: 0.632 0.314 0.353
F: 0.758 0.129 0.447
F: 0.758 0.371 0.947
F: 0.783 0.168 0.038
F: 0.783 0.332 0.538
F: 0.877 0.218 0.302
F: 0.877 0.282 0.802
F: 0.898 0.078 0.891
F: 0.898 0.422 0.391
F: 0.974 0.739 0.013
F: 0.974 0.761 0.513

Peak list (10 most intense, 2θ from 10° to 80°, in order of rising 2θ)
| 2θ (°) | d_spacing | I (rel.) |
| --- | --- | --- |
| 13.35 | 6.632 | 43 |
| 20.70 | 4.291 | 100 |
| 21.39 | 4.154 | 50 |
| 22.62 | 3.931 | 57 |
| 23.19 | 3.835 | 48 |
| 25.06 | 3.553 | 61 |
| 25.24 | 3.529 | 48 |
| 26.46 | 3.369 | 68 |
| 26.55 | 3.358 | 58 |
| 39.58 | 2.277 | 50 |


8.
The following is a theoretical powder diffraction line list of SmHoRu2. It was derived from a GGA-PBE-relaxed structure, using CuKα.
Peak positions follow from Bragg's law for the DFT cell and can differ from measured ones.

Atomic structure:
Unit cell a=4.851 b=4.851 c=4.851 alpha=60.00 beta=60.00 gamma=60.00
Sites, in units of the cell vectors:
Sm: 0.000 0.000 0.000
Ho: 0.500 0.500 0.500
Ru: 0.250 0.250 0.250
Ru: 0.750 0.750 0.750

Peak list (7 most intense, 2θ from 10° to 80°, in order of rising 2θ)
| 2θ (°) | d_spacing | I (rel.) |
| --- | --- | --- |
| 25.98 | 3.430 | 5 |
| 37.07 | 2.425 | 100 |
| 45.82 | 1.980 | 2 |
| 53.43 | 1.715 | 17 |
| 60.34 | 1.534 | 2 |
| 66.81 | 1.400 | 35 |
| 78.95 | 1.213 | 11 |


9.
The following is a theoretical powder diffraction line list of UCuO6. It was derived from a GGA-PBE-relaxed structure, using CuKα.
Peak positions follow from Bragg's law for the DFT cell and can differ from measured ones.

Atomic structure:
Unit cell a=5.321 b=5.807 c=7.597 alpha=79.69 beta=85.35 gamma=83.78
Sites, in units of the cell vectors:
U: 0.147 0.154 0.297
U: 0.853 0.846 0.703
Cu: 0.336 0.638 0.100
Cu: 0.664 0.362 0.900
O: 0.059 0.541 0.233
O: 0.070 0.789 0.487
O: 0.109 0.897 0.840
O: 0.337 0.365 0.009
O: 0.368 0.906 0.187
O: 0.411 0.238 0.405
O: 0.589 0.762 0.595
O: 0.632 0.094 0.813
O: 0.663 0.635 0.991
O: 0.891 0.103 0.160
O: 0.930 0.211 0.513
O: 0.941 0.459 0.767

Peak list (10 most intense, 2θ from 10° to 80°, in order of rising 2θ)
| 2θ (°) | d_spacing | I (rel.) |
| --- | --- | --- |
| 16.79 | 5.279 | 20 |
| 17.92 | 4.951 | 75 |
| 19.98 | 4.443 | 100 |
| 21.22 | 4.187 | 25 |
| 23.86 | 3.730 | 19 |
| 24.07 | 3.697 | 27 |
| 26.70 | 3.339 | 40 |
| 30.85 | 2.899 | 32 |
| 35.67 | 2.517 | 23 |
| 40.65 | 2.219 | 21 |


10.
The following is a theoretical powder diffraction line list of PrN. It was derived from a GGA-PBE-relaxed structure, using CuKα.
Peak positions follow from Bragg's law for the DFT cell and can differ from measured ones.

Atomic structure:
Unit cell a=3.935 b=3.935 c=3.935 alpha=60.00 beta=60.00 gamma=60.00
Sites, in units of the cell vectors:
Pr: 0.000 0.000 0.000
N: 0.750 0.750 0.750

Peak list (8 most intense, 2θ from 10° to 80°, in order of rising 2θ)
| 2θ (°) | d_spacing | I (rel.) |
| --- | --- | --- |
| 27.76 | 3.213 | 100 |
| 32.17 | 2.783 | 41 |
| 46.13 | 1.968 | 44 |
| 54.70 | 1.678 | 45 |
| 57.35 | 1.607 | 11 |
| 67.29 | 1.391 | 7 |
| 74.28 | 1.277 | 18 |
| 76.56 | 1.244 | 14 |